# Co2AsO4
Theoretical powder X-ray diffraction pattern, λ = 1.5418 Å (Cu Kα). Input: a crystal structure in OQMD, relaxed with GGA+U.

Most intense lines, 10° ≤ 2θ ≤ 90°, in order of rising 2θ:
29.7°, I 17.2
29.9°, I 33.8
35.0°, I 100.0
35.4°, I 48.1
52.8°, I 13.3
56.2°, I 25.8
61.7°, I 21.5
62.1°, I 41.8

```
Co2AsO4
1.0
-3.009 3.009 4.196
3.009 -3.009 4.196
3.009 3.009 -4.196
Co As O
4 2 8
Cartesian
0.000 0.000 0.000
1.504 1.504 -2.098
1.504 -1.504 2.098
0.000 3.009 0.000
3.009 1.504 1.049
0.000 1.504 3.147
3.009 2.975 -2.127
1.471 1.504 -0.029
1.538 -1.504 4.167
3.009 -0.033 2.127
0.000 3.042 2.069
1.471 4.513 0.029
1.538 1.504 4.225
0.000 0.033 6.323
```